Simulated powder XRD pattern of LaDy2Er3 for copper Kα, from a PBE-relaxed structure.
Peak positions follow from Bragg's law for the DFT cell and can differ from measured ones.

Largest 8 diffraction maxima, by intensity, 5 to 70 degrees two-theta:
hkl 1 1 2, 2θ 32.56, I = 100
hkl 4 0 -4, 2θ 31.56, I = 29
hkl 9 1 -6, 2θ 56.82, I = 20
hkl 8 0 -2, 2θ 32.71, I = 19
hkl 3 1 0, 2θ 28.36, I = 19
hkl 9 1 0, 2θ 50.38, I = 16
hkl 2 0 4, 2θ 42.94, I = 15
hkl 8 2 -2, 2θ 61.13, I = 13

Crystal structure
a b c (Å): 21.916 3.639 11.340
angles (deg): 90.00 120.96 90.00
Space group C2/m (No. 12)
One atom of each set of equivalent atoms:
La  0.111  0.000  0.485 [4 per cell]
Dy  0.058  0.500  0.690 [4 per cell]
Dy  0.224  0.000  0.851 [4 per cell]
Er  0.055  0.500  0.175 [4 per cell]
Er  0.111  0.000  0.988 [4 per cell]
Er  0.221  0.000  0.344 [4 per cell]